Entry 1:
Ho2CoPtO6: calculated X-ray powder pattern (Cu Kα X-rays), based on DFT lattice parameters and positions (PBE+U).
Peak positions follow from Bragg's law for the DFT cell and can differ from measured ones.

Peak list (8 most intense, 10° ≤ 2θ ≤ 80°, sorted by position)
two_theta	I_rel
19.2	25.2
25.5	29.3
31.0	38.8
32.6	99.8
32.7	100.0
33.6	47.0
46.4	31.3
59.4	31.2

Crystal structure
Cell: 5.330 5.767 9.332 Å, 90.00 124.57 90.00°
Space group P2_1/c (No. 14)
Asymmetric unit:
1 Ho 0.222 0.075 0.247 x4
2 Co 0.000 0.000 0.500 x2
3 Pt 0.500 0.000 0.000 x2
4 O 0.126 0.189 0.943 x4
5 O 0.248 0.697 0.932 x4
6 O 0.380 0.054 0.751 x4

---

Entry 2:
HoZnCo2O6: calculated X-ray powder pattern (Cu Kα X-rays), based on DFT lattice parameters and positions (PBE+U).
Peak positions follow from Bragg's law for the DFT cell and can differ from measured ones.

Peak list (8 most intense, 10° ≤ 2θ ≤ 80°, sorted by position)
two_theta	I_rel
32.7	37.0
33.5	100.0
34.1	90.9
34.8	61.0
48.5	33.4
48.7	27.3
61.2	25.4
62.4	24.4

Crystal structure
Cell: 5.156 5.475 8.982 Å, 90.00 123.55 90.00°
Space group Pc (No. 7)
Asymmetric unit:
1 Ho 0.000 0.173 0.000 x2
2 Zn 0.461 0.295 0.495 x2
3 Co 0.229 0.263 0.748 x2
4 Co 0.726 0.264 0.246 x2
5 O 0.096 0.067 0.306 x2
6 O 0.364 0.445 0.186 x2
7 O 0.469 0.072 0.688 x2
8 O 0.596 0.300 0.008 x2
9 O 0.835 0.220 0.486 x2
10 O 0.996 0.437 0.808 x2

---

Entry 3:
CoI2O6: calculated X-ray powder pattern (Cu Kα X-rays), based on DFT lattice parameters and positions (PBE+U).
Peak positions follow from Bragg's law for the DFT cell and can differ from measured ones.

Peak list (8 most intense, 10° ≤ 2θ ≤ 80°, sorted by position)
two_theta	I_rel
25.4	100.0
32.3	35.6
41.5	18.9
48.3	30.5
53.5	20.8
57.1	7.3
57.6	10.6
73.4	8.5

Crystal structure
Cell: 11.0933 11.0933 5.1391 Å, 90.00 90.00 120.00°
Space group P3 (No. 143)
Asymmetric unit:
1 Co 0.0000 0.0000 0.0000 x1
2 Co 0.0032 0.5087 0.4932 x3
3 I 0.1526 0.3179 0.4238 x3
4 I 0.3333 0.6667 0.8860 x1
5 I 0.3458 0.1667 0.9126 x3
6 I 0.6667 0.3333 0.4380 x1
7 O 0.0284 0.1755 0.2095 x3
8 O 0.0418 0.6818 0.2642 x3
9 O 0.1306 0.4582 0.2809 x3
10 O 0.1771 0.1300 0.7748 x3
11 O 0.1786 0.6524 0.7234 x3
12 O 0.3665 0.0368 0.7236 x3
13 O 0.4619 0.3213 0.7160 x3
14 O 0.5516 0.1706 0.2608 x3

---

Entry 4:
CoI2O6: calculated X-ray powder pattern (Cu Kα X-rays), based on DFT lattice parameters and positions (PBE+U).
Peak positions follow from Bragg's law for the DFT cell and can differ from measured ones.

Peak list (8 most intense, 10° ≤ 2θ ≤ 80°, sorted by position)
two_theta	I_rel
22.0	33.2
25.2	25.1
27.9	100.0
34.2	12.6
35.1	13.6
42.5	14.8
48.2	18.8
57.5	10.4

Crystal structure
Cell: 14.774 7.078 5.238 Å, 90.00 90.00 90.00°
Space group Pbcn (No. 60)
Asymmetric unit:
1 Co 0.000 0.124 0.250 x4
2 I 0.148 0.281 0.730 x8
3 O 0.079 0.100 0.909 x8
4 O 0.080 0.321 0.437 x8
5 O 0.238 0.133 0.608 x8

---

Entry 5:
CoI2O6: calculated X-ray powder pattern (Cu Kα X-rays), based on DFT lattice parameters and positions (PBE+U).
Peak positions follow from Bragg's law for the DFT cell and can differ from measured ones.

Peak list (8 most intense, 10° ≤ 2θ ≤ 80°, sorted by position)
two_theta	I_rel
24.9	100.0
25.0	46.0
32.5	16.6
32.8	26.6
33.0	16.5
46.9	14.6
47.1	13.7
47.2	13.9

Crystal structure
Cell: 5.454 10.870 10.909 Å, 119.25 90.02 90.02°
Space group P1 (No. 1)
Asymmetric unit:
1 Co 0.000 0.000 0.000 x1
2 Co 0.000 0.496 0.497 x1
3 Co 0.501 0.485 0.989 x1
4 Co 0.501 0.981 0.493 x1
5 I 0.392 0.326 0.179 x1
6 I 0.392 0.823 0.681 x1
7 I 0.420 0.829 0.149 x1
8 I 0.424 0.327 0.646 x1
9 I 0.892 0.157 0.811 x1
10 I 0.893 0.656 0.309 x1
11 I 0.922 0.151 0.342 x1
12 I 0.923 0.654 0.842 x1
13 O 0.208 0.857 0.033 x1
14 O 0.209 0.468 0.319 x1
15 O 0.210 0.348 0.525 x1
16 O 0.211 0.667 0.651 x1
17 O 0.214 0.170 0.150 x1
18 O 0.216 0.966 0.823 x1
19 O 0.275 0.945 0.320 x1
20 O 0.278 0.448 0.815 x1
21 O 0.288 0.844 0.533 x1
22 O 0.289 0.661 0.118 x1
23 O 0.292 0.346 0.029 x1
24 O 0.297 0.161 0.623 x1
25 O 0.707 0.631 0.960 x1
26 O 0.711 0.126 0.461 x1
27 O 0.711 0.813 0.340 x1
28 O 0.712 0.013 0.672 x1
29 O 0.714 0.313 0.837 x1
30 O 0.714 0.515 0.166 x1
31 O 0.774 0.033 0.172 x1
32 O 0.778 0.535 0.671 x1
33 O 0.788 0.632 0.456 x1
34 O 0.792 0.140 0.962 x1
35 O 0.792 0.318 0.369 x1
36 O 0.794 0.822 0.868 x1

---

Entry 6:
CoI2O6: calculated X-ray powder pattern (Cu Kα X-rays), based on DFT lattice parameters and positions (PBE+U).
Peak positions follow from Bragg's law for the DFT cell and can differ from measured ones.

Peak list (8 most intense, 10° ≤ 2θ ≤ 80°, sorted by position)
two_theta	I_rel
25.0	100.0
25.2	46.0
32.2	17.0
32.7	14.3
32.8	16.3
47.2	14.5
47.6	13.3
47.7	14.7

Crystal structure
Cell: 10.911 5.338 10.959 Å, 90.00 118.96 90.00°
Space group P2_1 (No. 4)
Asymmetric unit:
1 Co 0.239 0.000 0.492 x2
2 Co 0.261 0.500 0.008 x2
3 I 0.085 0.070 0.151 x2
4 I 0.087 0.101 0.687 x2
5 I 0.414 0.601 0.813 x2
6 I 0.415 0.571 0.349 x2
7 O 0.067 0.787 0.338 x2
8 O 0.082 0.713 0.882 x2
9 O 0.103 0.208 0.536 x2
10 O 0.117 0.283 0.035 x2
11 O 0.199 0.225 0.319 x2
12 O 0.228 0.287 0.826 x2
13 O 0.272 0.787 0.674 x2
14 O 0.300 0.725 0.181 x2
15 O 0.383 0.783 0.465 x2
16 O 0.396 0.709 0.963 x2
17 O 0.418 0.214 0.618 x2
18 O 0.432 0.287 0.161 x2

---

Entry 7:
CoI2O6: calculated X-ray powder pattern (Cu Kα X-rays), based on DFT lattice parameters and positions (PBE+U).
Peak positions follow from Bragg's law for the DFT cell and can differ from measured ones.

Peak list (8 most intense, 10° ≤ 2θ ≤ 80°, sorted by position)
two_theta	I_rel
19.4	90.0
26.5	85.1
26.7	82.7
27.6	68.7
32.1	100.0
38.2	64.2
42.1	48.2
51.0	44.2

Crystal structure
Cell: 5.457 9.731 4.584 Å, 90.00 92.57 90.00°
Space group Cm (No. 8)
Asymmetric unit:
1 Co 0.000 0.000 0.000 x2
2 I 0.491 0.166 0.505 x4
3 O 0.179 0.175 0.745 x4
4 O 0.180 0.500 0.770 x2
5 O 0.313 0.000 0.256 x2
6 O 0.335 0.318 0.264 x4

---

Entry 8:
CoI2O6: calculated X-ray powder pattern (Cu Kα X-rays), based on DFT lattice parameters and positions (PBE+U).
Peak positions follow from Bragg's law for the DFT cell and can differ from measured ones.

Peak list (8 most intense, 10° ≤ 2θ ≤ 80°, sorted by position)
two_theta	I_rel
21.4	52.0
21.8	35.1
24.8	78.4
26.1	46.6
28.2	100.0
28.9	55.0
31.2	41.4
32.9	40.5

Crystal structure
Cell: 6.689 11.208 8.069 Å, 90.00 117.35 90.00°
Space group P2_1/c (No. 14)
Asymmetric unit:
1 Co 0.158 0.101 0.473 x4
2 I 0.215 0.081 0.961 x4
3 I 0.354 0.707 0.070 x4
4 O 0.011 0.538 0.327 x4
5 O 0.040 0.218 0.900 x4
6 O 0.145 0.583 0.014 x4
7 O 0.351 0.105 0.809 x4
8 O 0.417 0.111 0.411 x4
9 O 0.450 0.713 0.322 x4

---

Entry 9:
CoI2O6: calculated X-ray powder pattern (Cu Kα X-rays), based on DFT lattice parameters and positions (PBE+U).
Peak positions follow from Bragg's law for the DFT cell and can differ from measured ones.

Peak list (8 most intense, 10° ≤ 2θ ≤ 80°, sorted by position)
two_theta	I_rel
19.6	38.9
27.1	100.0
32.5	60.1
38.2	46.8
42.8	28.2
52.2	56.3
54.8	26.8
58.0	24.9

Crystal structure
Cell: 5.5052 5.5052 4.5399 Å, 90.00 90.00 120.00°
Space group P-31m (No. 162)
Asymmetric unit:
1 Co 0.0000 0.0000 0.0000 x1
2 I 0.3333 0.6667 0.5000 x2
3 O 0.0000 0.3431 0.2564 x6